Simulated XRD peak list
Compound: Na4Fe6O13
Radiation: Cu Ka
Structure: the GGA+U geometry in the Materials Project
Intensities are scaled so that the largest is 100.

Structure:
a = 10.849 Å, b = 18.750 Å, c = 5.272 Å
α = 90.00°, β = 90.00°, γ = 90.00°
Space group Iba2 (No. 45)
One atom of each set of equivalent atoms:
Na1 0.123 0.167 0.000
Na2 0.142 0.344 0.011
Fe1 0.101 0.053 0.499
Fe2 0.124 0.259 0.501
Fe3 0.130 0.461 0.581
O1 0.000 0.500 0.315
O2 0.002 0.264 0.245
O3 0.076 0.048 0.891
O4 0.108 0.148 0.490
O5 0.141 0.367 0.494
O6 0.226 0.462 0.912
O7 0.248 0.250 0.756

Largest 12 diffraction maxima, low angle first, 2θ from 10° to 80°:
2θ 18.93, 4.688 Å, I 44, (0 4 0); 2θ 24.01, 3.706 Å, I 46, (2 1 1); 2θ 33.03, 2.712 Å, I 36, (4 0 0); 2θ 33.66, 2.662 Å, I 100, (2 5 1); 2θ 34.01, 2.636 Å, I 36, (0 0 2); 2θ 48.14, 1.890 Å, I 40, (4 0 2); 2θ 48.56, 1.875 Å, I 20, (0 10 0); 2θ 49.99, 1.825 Å, I 13, (2 9 1); 2θ 59.39, 1.556 Å, I 19, (6 5 1); 2θ 59.96, 1.543 Å, I 12, (4 10 0); 2θ 60.65, 1.527 Å, I 15, (2 5 3); 2θ 70.77, 1.331 Å, I 14, (4 10 2)